# 1
This entry pairs a crystal structure of Tb3PrSe4 with its computed powder diffractogram. Radiation: copper Kα. Structure: a crystal structure in Alexandria, relaxed with PBE.

Structure:
a = 4.099 Å, b = 4.099 Å, c = 27.616 Å
α = 90.00°, β = 90.00°, γ = 120.00°
Element x y z (fractional)
Tb  0.000  0.000  0.000
Tb  0.000  0.000  0.500
Tb  0.333  0.667  0.121
Tb  0.333  0.667  0.379
Tb  0.667  0.333  0.621
Tb  0.667  0.333  0.879
Pr  0.333  0.667  0.750
Pr  0.667  0.333  0.250
Se  0.000  0.000  0.181
Se  0.000  0.000  0.319
Se  0.000  0.000  0.681
Se  0.000  0.000  0.819
Se  0.333  0.667  0.561
Se  0.333  0.667  0.939
Se  0.667  0.333  0.061
Se  0.667  0.333  0.439

Main lines, in order of falling intensity (10 to 90 degrees two-theta):
2θ 44.2, rel. 1000
2θ 29.9, rel. 778
2θ 31.8, rel. 719
2θ 81.3, rel. 294
2θ 71.5, rel. 279
2θ 28.3, rel. 235
2θ 26.9, rel. 234
2θ 41.4, rel. 179
2θ 55.5, rel. 147
2θ 54.3, rel. 145

---

# 2
This entry pairs a crystal structure of KRbNa17 with its computed powder diffractogram. Radiation: copper Kα. Structure: a crystal structure in Alexandria, relaxed with PBE.

Structure:
a = 9.378 Å, b = 9.378 Å, c = 9.378 Å
α = 82.43°, β = 82.43°, γ = 82.43°
Element x y z (fractional)
K  0.000  0.000  0.000
Rb  0.321  0.321  0.321
Na  0.008  0.008  0.517
Na  0.008  0.517  0.008
Na  0.163  0.661  0.661
Na  0.311  0.311  0.816
Na  0.311  0.816  0.311
Na  0.365  0.663  0.957
Na  0.365  0.957  0.663
Na  0.517  0.008  0.008
Na  0.566  0.566  0.566
Na  0.661  0.163  0.661
Na  0.661  0.661  0.163
Na  0.663  0.365  0.957
Na  0.663  0.957  0.365
Na  0.759  0.759  0.759
Na  0.816  0.311  0.311
Na  0.957  0.365  0.663
Na  0.957  0.663  0.365

Main lines, in order of falling intensity (10 to 90 degrees two-theta):
2θ 29.0, rel. 1000
2θ 28.9, rel. 588
2θ 25.0, rel. 396
2θ 20.5, rel. 343
2θ 29.4, rel. 302
2θ 25.7, rel. 279
2θ 51.2, rel. 207
2θ 51.8, rel. 206
2θ 32.5, rel. 203
2θ 46.6, rel. 189

---

# 3
This entry pairs a crystal structure of Hg4Pb2Se5 with its computed powder diffractogram. Radiation: copper Kα. Structure: a crystal structure in Alexandria, relaxed with PBE.

Structure:
a = 20.115 Å, b = 20.115 Å, c = 20.115 Å
α = 12.40°, β = 12.40°, γ = 12.40°
Element x y z (fractional)
Hg  0.085  0.085  0.085
Hg  0.184  0.184  0.184
Hg  0.816  0.816  0.816
Hg  0.915  0.915  0.915
Pb  0.363  0.363  0.363
Pb  0.637  0.637  0.637
Se  0.000  0.000  0.000
Se  0.129  0.129  0.129
Se  0.273  0.273  0.273
Se  0.727  0.727  0.727
Se  0.871  0.871  0.871

Main lines, in order of falling intensity (10 to 90 degrees two-theta):
2θ 28.8, rel. 1000
2θ 41.6, rel. 605
2θ 40.9, rel. 463
2θ 24.4, rel. 316
2θ 51.4, rel. 208
2θ 68.2, rel. 181
2θ 25.9, rel. 179
2θ 67.2, rel. 177
2θ 50.2, rel. 176
2θ 23.7, rel. 167

---

# 4
This entry pairs a crystal structure of Al4ZnGa3 with its computed powder diffractogram. Radiation: copper Kα. Structure: a crystal structure in Alexandria, relaxed with PBE.

Structure:
a = 5.656 Å, b = 9.509 Å, c = 5.251 Å
α = 90.00°, β = 90.00°, γ = 90.00°
Element x y z (fractional)
Al  0.000  0.232  0.000
Al  0.000  0.768  0.000
Al  0.246  0.000  0.781
Al  0.254  0.500  0.281
Al  0.500  0.268  0.500
Al  0.500  0.732  0.500
Al  0.746  0.500  0.281
Al  0.754  0.000  0.781
Zn  0.000  0.500  0.835
Zn  0.500  0.000  0.335
Ga  0.000  0.000  0.324
Ga  0.000  0.285  0.501
Ga  0.000  0.715  0.501
Ga  0.500  0.215  0.001
Ga  0.500  0.500  0.824
Ga  0.500  0.785  0.001

Main lines, in order of falling intensity (10 to 90 degrees two-theta):
2θ 39.2, rel. 1000
2θ 46.4, rel. 690
2θ 37.3, rel. 660
2θ 31.6, rel. 646
2θ 37.8, rel. 542
2θ 33.0, rel. 449
2θ 51.2, rel. 428
2θ 19.3, rel. 285
2θ 23.1, rel. 253
2θ 29.9, rel. 249

---

# 5
This entry pairs a crystal structure of TlAgF3 with its computed powder diffractogram. Radiation: copper Kα. Structure: a crystal structure in Alexandria, relaxed with PBE.

Structure:
a = 4.103 Å, b = 4.103 Å, c = 13.363 Å
α = 90.00°, β = 90.00°, γ = 120.00°
Element x y z (fractional)
Tl  0.000  0.000  0.000
Tl  0.000  0.000  0.500
Ag  0.333  0.667  0.250
Ag  0.667  0.333  0.750
F  0.000  0.000  0.250
F  0.000  0.000  0.750
F  0.333  0.667  0.090
F  0.333  0.667  0.410
F  0.667  0.333  0.590
F  0.667  0.333  0.910

Main lines, in order of falling intensity (10 to 90 degrees two-theta):
2θ 28.4, rel. 1000
2θ 44.1, rel. 403
2θ 26.7, rel. 359
2θ 25.9, rel. 343
2θ 52.3, rel. 339
2θ 36.9, rel. 303
2θ 48.2, rel. 301
2θ 25.1, rel. 269
2θ 53.4, rel. 183
2θ 71.7, rel. 156

---

# 6
This entry pairs a crystal structure of Cu5Si3 with its computed powder diffractogram. Radiation: copper Kα. Structure: a crystal structure in Alexandria, relaxed with PBE.

Structure:
a = 6.481 Å, b = 6.481 Å, c = 7.137 Å
α = 93.54°, β = 93.54°, γ = 134.74°
Element x y z (fractional)
Cu  0.155  0.839  0.824
Cu  0.161  0.845  0.176
Cu  0.269  0.269  0.059
Cu  0.309  0.546  0.669
Cu  0.454  0.691  0.331
Cu  0.546  0.309  0.669
Cu  0.691  0.454  0.331
Cu  0.731  0.731  0.941
Cu  0.839  0.155  0.824
Cu  0.845  0.161  0.176
Si  0.169  0.169  0.388
Si  0.205  0.795  0.500
Si  0.330  0.670  0.000
Si  0.670  0.330  0.000
Si  0.795  0.205  0.500
Si  0.831  0.831  0.612

Main lines, in order of falling intensity (10 to 90 degrees two-theta):
2θ 46.1, rel. 1000
2θ 39.6, rel. 517
2θ 41.3, rel. 329
2θ 47.9, rel. 311
2θ 32.7, rel. 271
2θ 36.5, rel. 204
2θ 44.9, rel. 192
2θ 42.0, rel. 167
2θ 48.0, rel. 160
2θ 29.9, rel. 155

---

# 7
This entry pairs a crystal structure of Tb4MgGe4 with its computed powder diffractogram. Radiation: copper Kα. Structure: a crystal structure in Alexandria, relaxed with PBE.

Structure:
a = 7.220 Å, b = 14.754 Å, c = 7.793 Å
α = 90.00°, β = 90.00°, γ = 90.00°
Element x y z (fractional)
Tb  0.012  0.095  0.183
Tb  0.012  0.405  0.183
Tb  0.170  0.127  0.678
Tb  0.170  0.373  0.678
Tb  0.330  0.627  0.178
Tb  0.330  0.873  0.178
Tb  0.488  0.595  0.683
Tb  0.488  0.905  0.683
Tb  0.512  0.095  0.317
Tb  0.512  0.405  0.317
Tb  0.670  0.127  0.822
Tb  0.670  0.373  0.822
Tb  0.830  0.627  0.322
Tb  0.830  0.873  0.322
Tb  0.988  0.595  0.817
Tb  0.988  0.905  0.817
Mg  0.161  0.750  0.522
Mg  0.339  0.250  0.022
Mg  0.661  0.750  0.978
Mg  0.839  0.250  0.478
Ge  0.023  0.750  0.086
Ge  0.169  0.536  0.466
Ge  0.169  0.964  0.466
Ge  0.214  0.250  0.362
Ge  0.286  0.750  0.862
Ge  0.331  0.036  0.966
Ge  0.331  0.464  0.966
Ge  0.477  0.250  0.586
Ge  0.523  0.750  0.414
Ge  0.669  0.536  0.034
Ge  0.669  0.964  0.034
Ge  0.714  0.250  0.138
Ge  0.786  0.750  0.638
Ge  0.831  0.036  0.534
Ge  0.831  0.464  0.534
Ge  0.977  0.250  0.914

Main lines, in order of falling intensity (10 to 90 degrees two-theta):
2θ 32.9, rel. 1000
2θ 31.8, rel. 807
2θ 33.5, rel. 475
2θ 39.2, rel. 376
2θ 35.8, rel. 353
2θ 36.7, rel. 283
2θ 57.9, rel. 281
2θ 37.3, rel. 254
2θ 27.9, rel. 216
2θ 24.1, rel. 173